For TaMo, a crystal structure in Alexandria, relaxed with GGA-PBE gives the computed powder X-ray diffraction pattern in this record (copper Kα).
Neutral-atom scattering factors, no anomalous dispersion.

Largest 10 diffraction maxima, in order of rising 2θ, 5° ≤ 2θ ≤ 70°:
2theta  I/Imax  hkl
16.0  3  0 0 1
16.8  4  1 0 0
25.3  3  1 0 1
25.9  5  1 1 0
32.2  2  1 1 1
39.2  68  1 1 -2
39.5  100  1 0 2
39.6  33  0 2 0
56.7  11  3 0 -2
57.1  23  1 2 2

```
data_TaMo
_space_group_name_H-M_alt 'P 1 2/m 1'
_space_group_IT_number 10
_cell_length_a 5.3600
_cell_length_b 4.5531
_cell_length_c 5.6332
_cell_angle_alpha 90.00
_cell_angle_beta 100.56
_cell_angle_gamma 90.00
loop_
_space_group_symop_operation_xyz
'x,y,z'
'-x,-y,-z'
'-x,y,-z'
'x,-y,z'
loop_
_atom_site_label
_atom_site_fract_x
_atom_site_fract_y
_atom_site_fract_z
Ta1 0.0075 0.0000 0.2504
Ta2 0.2604 0.5000 0.6229
Mo1 0.2466 0.5000 0.1191
Mo2 0.5000 0.0000 0.0000
Mo3 0.5000 0.0000 0.5000
```